The following is a theoretical powder X-ray diffraction pattern of Rb2MnI4. It was derived from a DFT-relaxed cell (PBE, the Materials Project), using Cu Kα.
Peak positions follow from Bragg's law for the DFT cell and can differ from measured ones.

```
Rb2MnI4
1.0
8.1691 0.0000 0.0000
0.0000 8.3854 0.0000
-3.2620 0.0000 9.7537
Rb Mn I
4 2 8
direct
0.2143 0.2500 0.0505 Rb
0.2670 0.2500 0.5683 Rb
0.7330 0.7500 0.4317 Rb
0.7857 0.7500 0.9495 Rb
0.2239 0.7500 0.7996 Mn
0.7761 0.2500 0.2004 Mn
0.0046 0.0007 0.7391 I
0.0046 0.4993 0.7391 I
0.3957 0.7500 0.0695 I
0.4162 0.7500 0.6302 I
0.5838 0.2500 0.3698 I
0.6043 0.2500 0.9305 I
0.9954 0.5007 0.2609 I
0.9954 0.9993 0.2609 I
```

Most intense lines, 2θ from 10° to 90°, by angle:
2θ/deg	d (Å)	Rel. int.
24.1	3.687	89
24.4	3.650	62
24.5	3.639	58
26.7	3.342	76
28.1	3.180	100
34.9	2.571	40
40.2	2.243	38
50.2	1.817	34

---

The following is a theoretical powder X-ray diffraction pattern of MnSbSe2I. It was derived from a DFT-relaxed cell (PBE, the Materials Project), using Cu Kα.
Peak positions follow from Bragg's law for the DFT cell and can differ from measured ones.

```
MnSbSe2I
1.0
6.7330 -2.0314 0.0000
6.7330 2.0314 0.0000
-0.2932 0.0000 10.1943
Mn Sb Se I
2 2 4 2
direct
0.0000 0.0000 0.0000 Mn
0.0000 0.0000 0.5000 Mn
0.2926 0.2926 0.6831 Sb
0.7074 0.7074 0.3169 Sb
0.0731 0.0731 0.2595 Se
0.3634 0.3634 0.4442 Se
0.6366 0.6366 0.5558 Se
0.9269 0.9269 0.7405 Se
0.3666 0.3666 0.0748 I
0.6334 0.6334 0.9252 I
```

Most intense lines, 2θ from 10° to 90°, by angle:
2θ/deg	d (Å)	Rel. int.
29.0	3.080	40
29.1	3.069	63
29.7	3.012	100
30.8	2.903	32
31.1	2.873	37
44.5	2.037	29
44.6	2.032	39
48.0	1.894	29